Diffraction record for U2AlGa4. The X-ray diffraction stick pattern is computed, not measured: it uses a cell relaxed with PBE and Cu Kα (λ = 1.5418 Å).
Lines closer than 0.1° are merged.

Most intense lines, 10° ≤ 2θ ≤ 90°, low angle first:
d 3.834, 23.2 deg, intensity 565, (1 0 1)
d 3.362, 26.5 deg, intensity 190, (0 0 2)
d 3.300, 27.0 deg, intensity 378, (1 1 0)
d 2.355, 38.2 deg, intensity 1000, (1 1 2)
d 2.333, 38.6 deg, intensity 498, (2 0 0)
d 1.993, 45.5 deg, intensity 205, (2 1 1)
d 1.650, 55.7 deg, intensity 172, (2 2 0)
d 1.351, 69.6 deg, intensity 350, (3 1 2)

Cell and atoms:
```
data_U2AlGa4
_chemical_formula_sum 'U2 Al1 Ga4'
_symmetry_space_group_name_H-M 'P -4 m 2'
_symmetry_Int_Tables_number 115
_cell_length_a 4.666
_cell_length_b 4.666
_cell_length_c 6.723
_cell_angle_alpha 90.00
_cell_angle_beta 90.00
_cell_angle_gamma 90.00
loop_
_symmetry_equiv_pos_as_xyz
'x,y,z'
'y,-x,-z'
'-x,-y,z'
'-y,x,-z'
'-x,y,z'
'-y,-x,-z'
'x,-y,z'
'y,x,-z'
loop_
_atom_site_label
_atom_site_type_symbol
_atom_site_fract_x
_atom_site_fract_y
_atom_site_fract_z
_atom_site_occupancy
U1 U 0.000 0.500 0.242 1
Al1 Al 0.500 0.500 0.000 1
Ga1 Ga 0.000 0.000 0.500 1
Ga2 Ga 0.000 0.500 0.774 1
Ga3 Ga 0.500 0.500 0.500 1
```